(1)
The following is a simulated powder diffraction line list of Na2LiTmCl6. It was derived from a structure optimized by DFT (GGA-PBE), using Cu Kα.
Peak positions follow from Bragg's law for the DFT cell and can differ from measured ones.

Largest 10 diffraction maxima, by intensity, 2θ from 10° to 90°:
- 2θ 15.06, I = 100.0, hkl 1 1 1
- 2θ 17.41, I = 89.3, hkl 2 0 0
- 2θ 35.23, I = 72.8, hkl 4 0 0
- 2θ 29.06, I = 68.4, hkl 3 1 1
- 2θ 50.68, I = 47.6, hkl 4 4 0
- 2θ 39.55, I = 41.9, hkl 4 2 0
- 2θ 24.71, I = 41.4, hkl 2 2 0
- 2θ 38.51, I = 34.5, hkl 3 3 1
- 2θ 46.30, I = 24.3, hkl 3 3 3
- 2θ 53.17, I = 24.3, hkl 5 3 1

Crystal structure
```
data_Na2LiTmCl6
_chemical_formula_sum 'Na8 Li4 Tm4 Cl24'
_symmetry_space_group_name_H-M 'F m -3 m'
_symmetry_Int_Tables_number 225
_symmetry_space_group_name_Hall '-F 4 2 3'
_cell_length_a 10.1903
_cell_length_b 10.1903
_cell_length_c 10.1903
_cell_angle_alpha 90.00
_cell_angle_beta 90.00
_cell_angle_gamma 90.00
loop_
_atom_site_label
_atom_site_fract_x
_atom_site_fract_y
_atom_site_fract_z
_atom_site_occupancy
Na1 0.2500 0.2500 0.2500 1
Li1 0.0000 0.0000 0.0000 1
Tm1 0.0000 0.0000 0.5000 1
Cl1 0.0000 0.0000 0.2471 1
```

***

(2)
The following is a simulated powder diffraction line list of BaCaRu2. It was derived from a structure optimized by DFT (GGA-PBE), using Cu Kα.
Peak positions follow from Bragg's law for the DFT cell and can differ from measured ones.

Largest 10 diffraction maxima, by intensity, 2θ from 10° to 90°:
- 2θ 35.95, I = 100.0, hkl 2 2 0
- 2θ 64.63, I = 34.7, hkl 4 2 2
- 2θ 51.76, I = 17.2, hkl 4 0 0
- 2θ 87.28, I = 15.4, hkl 6 2 0
- 2θ 76.23, I = 10.7, hkl 4 4 0
- 2θ 21.79, I = 7.3, hkl 1 1 1
- 2θ 25.21, I = 6.8, hkl 2 0 0
- 2θ 42.43, I = 4.0, hkl 3 1 1
- 2θ 58.41, I = 2.8, hkl 4 2 0
- 2θ 44.42, I = 2.1, hkl 2 2 2

Crystal structure
```
data_BaCaRu2
_chemical_formula_sum 'Ba4 Ca4 Ru8'
_symmetry_space_group_name_H-M 'F -4 3 m'
_symmetry_Int_Tables_number 216
_symmetry_space_group_name_Hall 'F -4 2 3'
_cell_length_a 7.0653
_cell_length_b 7.0653
_cell_length_c 7.0653
_cell_angle_alpha 90.00
_cell_angle_beta 90.00
_cell_angle_gamma 90.00
loop_
_atom_site_label
_atom_site_fract_x
_atom_site_fract_y
_atom_site_fract_z
_atom_site_occupancy
Ba1 0.0000 0.0000 0.0000 1
Ca1 0.2500 0.2500 0.2500 1
Ru1 0.0000 0.0000 0.5000 1
Ru2 0.2500 0.2500 0.7500 1
```